(1)
The following is a simulated powder diffraction line list of CrReO4. It was derived from a GGA+U-relaxed structure, using Cu Kα, 1.54184 Å.
Lines closer than 0.1° are merged.

a b c (Å): 8.9660 6.5790 5.7494
angles (deg): 90.00 129.70 90.00
Space group Cm (No. 8)
Inequivalent atoms, fractional coordinates:
1 Cr 0.0000 0.0000 0.0000 x2
2 Cr 0.0007 0.0000 0.5009 x2
3 Re 0.0004 0.5000 0.7773 x2
4 Re 0.0010 0.5000 0.2299 x2
5 O 0.0012 0.2077 0.7588 x4
6 O 0.1859 0.5000 0.6870 x2
7 O 0.2191 0.5000 0.2213 x2
8 O 0.2823 0.0000 0.7818 x2
9 O 0.3154 0.0000 0.3164 x2
10 O 0.4992 0.2923 0.2409 x4

Peak list (12 most intense, 2θ from 15° to 90°, by intensity)
36.5°, intensity 100, hkl 1 1 -2
18.6°, intensity 99, hkl 1 1 0
25.8°, intensity 83, hkl 2 0 0
27.1°, intensity 73, hkl 0 2 0
54.3°, intensity 41, hkl 1 3 -2
37.8°, intensity 34, hkl 2 2 0
52.8°, intensity 23, hkl 1 1 2
52.9°, intensity 23, hkl 5 1 -2
43.3°, intensity 19, hkl 1 3 0
53.1°, intensity 14, hkl 4 0 0
40.8°, intensity 13, hkl 0 0 2
40.9°, intensity 13, hkl 4 0 -2

=====

(2)
The following is a simulated powder diffraction line list of CrReO4. It was derived from a GGA+U-relaxed structure, using Cu Kα, 1.54184 Å.
Lines closer than 0.1° are merged.

a b c (Å): 6.5517 6.8470 2.9097
angles (deg): 90.00 90.00 90.00
Space group Cmmm (No. 65)
Inequivalent atoms, fractional coordinates:
1 Cr 0.0000 0.0000 0.0000 x2
2 Re 0.0000 0.5000 0.5000 x2
3 O 0.0000 0.2948 0.0000 x4
4 O 0.2079 0.0000 0.5000 x4

Peak list (12 most intense, 2θ from 15° to 90°, by intensity)
36.2°, intensity 100, hkl 1 1 1
18.7°, intensity 87, hkl 1 1 0
26.0°, intensity 73, hkl 0 2 0
27.2°, intensity 65, hkl 2 0 0
52.9°, intensity 44, hkl 1 3 1
54.2°, intensity 40, hkl 3 1 1
38.0°, intensity 30, hkl 2 2 0
40.7°, intensity 27, hkl 0 2 1
67.5°, intensity 25, hkl 3 3 1
43.5°, intensity 16, hkl 3 1 0
49.7°, intensity 15, hkl 2 2 1
30.7°, intensity 13, hkl 0 0 1

=====

(3)
The following is a simulated powder diffraction line list of CrReO4. It was derived from a GGA+U-relaxed structure, using Cu Kα, 1.54184 Å.
Lines closer than 0.1° are merged.

a b c (Å): 6.5467 6.8463 5.8157
angles (deg): 90.00 90.00 90.00
Space group Cmm2 (No. 35)
Inequivalent atoms, fractional coordinates:
1 Cr 0.0000 0.0000 0.0000 x2
2 Cr 0.0000 0.0000 0.4983 x2
3 Re 0.0000 0.5000 0.2254 x2
4 Re 0.0000 0.5000 0.7667 x2
5 O 0.0000 0.2847 0.9979 x4
6 O 0.0000 0.3128 0.4980 x4
7 O 0.2055 0.0000 0.7531 x4
8 O 0.2069 0.0000 0.2460 x4

Peak list (12 most intense, 2θ from 15° to 90°, by intensity)
36.3°, intensity 100, hkl 1 1 2
18.8°, intensity 94, hkl 1 1 0
26.0°, intensity 79, hkl 0 2 0
27.2°, intensity 70, hkl 2 0 0
52.9°, intensity 45, hkl 1 3 2
54.2°, intensity 41, hkl 3 1 2
38.0°, intensity 33, hkl 2 2 0
40.7°, intensity 27, hkl 0 2 2
67.6°, intensity 25, hkl 3 3 2
43.5°, intensity 18, hkl 3 1 0
63.0°, intensity 16, hkl 4 2 0
49.7°, intensity 14, hkl 2 2 2

=====

Copy entry 2 word for word.
The following is a simulated powder diffraction line list of CrReO4. It was derived from a GGA+U-relaxed structure, using Cu Kα, 1.54184 Å.
Lines closer than 0.1° are merged.

a b c (Å): 6.5517 6.8470 2.9097
angles (deg): 90.00 90.00 90.00
Space group Cmmm (No. 65)
Inequivalent atoms, fractional coordinates:
1 Cr 0.0000 0.0000 0.0000 x2
2 Re 0.0000 0.5000 0.5000 x2
3 O 0.0000 0.2948 0.0000 x4
4 O 0.2079 0.0000 0.5000 x4

Peak list (12 most intense, 2θ from 15° to 90°, by intensity)
36.2°, intensity 100, hkl 1 1 1
18.7°, intensity 87, hkl 1 1 0
26.0°, intensity 73, hkl 0 2 0
27.2°, intensity 65, hkl 2 0 0
52.9°, intensity 44, hkl 1 3 1
54.2°, intensity 40, hkl 3 1 1
38.0°, intensity 30, hkl 2 2 0
40.7°, intensity 27, hkl 0 2 1
67.5°, intensity 25, hkl 3 3 1
43.5°, intensity 16, hkl 3 1 0
49.7°, intensity 15, hkl 2 2 1
30.7°, intensity 13, hkl 0 0 1